# Er2Fe4Si9
Calculated powder XRD pattern, a wavelength of 1.5418 Å. Input: a crystal structure in Alexandria, relaxed with GGA-PBE.

Atomic structure:
```
15
Lattice="3.939 0.000 0.000 -1.970 3.412 0.000 0.000 0.000 15.941" Properties=species:S:1:pos:R:3 pbc="T T T"
Er 0.000 2.274 4.119
Er 1.970 1.137 11.822
Fe 0.000 2.274 9.596
Fe 0.000 2.274 14.512
Fe 1.970 1.137 1.429
Fe 1.970 1.137 6.345
Si 0.000 0.000 0.000
Si 0.000 0.000 2.408
Si 0.000 0.000 5.939
Si 0.000 0.000 10.002
Si 0.000 0.000 13.533
Si 0.000 2.274 1.060
Si 0.000 2.274 7.283
Si 1.970 1.137 8.658
Si 1.970 1.137 14.881
```

Most intense lines, 2θ = 5–70°, low angle first:
11.10°, I 19; 26.12°, I 19; 26.72°, I 39; 31.15°, I 100; 33.74°, I 20; 38.65°, I 47; 43.16°, I 40; 46.08°, I 71; 56.67°, I 18; 58.32°, I 24

# Er2Fe14Si3
Calculated powder XRD pattern, a wavelength of 1.5418 Å. Input: a crystal structure in Alexandria, relaxed with GGA-PBE.

Atomic structure:
```
38
Lattice="8.307 0.000 0.000 -4.154 7.194 0.000 0.000 0.000 8.177" Properties=species:S:1:pos:R:3 pbc="T T T"
Er 0.000 0.000 2.044
Er 0.000 0.000 6.133
Er 0.000 4.796 2.044
Er 4.154 2.398 6.133
Fe -1.247 2.579 6.133
Fe -2.543 4.825 6.133
Fe 0.000 2.412 0.122
Fe 0.000 2.412 3.967
Fe -2.065 5.989 0.122
Fe -2.065 5.989 3.967
Fe 1.247 2.579 6.133
Fe -1.297 6.984 6.133
Fe 0.000 4.796 4.985
Fe 0.000 4.796 7.281
Fe 2.089 1.206 4.210
Fe 2.089 1.206 8.056
Fe 2.857 0.210 2.044
Fe 1.610 2.369 2.044
Fe 2.543 4.825 6.133
Fe 1.297 6.984 6.133
Fe 2.065 5.989 0.122
Fe 2.065 5.989 3.967
Fe 4.154 2.398 0.896
Fe 4.154 2.398 3.192
Fe 5.450 0.210 2.044
Fe 2.907 4.615 2.044
Fe 6.219 1.206 4.210
Fe 6.219 1.206 8.056
Fe 4.154 4.783 4.210
Fe 4.154 4.783 8.056
Fe 6.697 2.369 2.044
Fe 5.400 4.615 2.044
Si -2.077 3.597 0.000
Si -2.077 3.597 4.089
Si 4.154 0.000 0.000
Si 4.154 0.000 4.089
Si 2.077 3.597 0.000
Si 2.077 3.597 4.089
```

Most intense lines, 2θ = 5–70°, low angle first:
30.68°, I 35; 33.17°, I 15; 37.50°, I 51; 41.57°, I 27; 43.58°, I 45; 43.76°, I 100; 44.31°, I 26; 47.21°, I 14; 63.47°, I 11; 63.90°, I 12

# Er6Fe2Si
Calculated powder XRD pattern, a wavelength of 1.5418 Å. Input: a crystal structure in Alexandria, relaxed with GGA-PBE.

Atomic structure:
```
18
Lattice="-4.640 4.659 4.869 4.640 -4.659 4.869 4.640 4.659 -4.869" Properties=species:S:1:pos:R:3 pbc="T T T"
Er 4.640 2.760 -2.594
Er 2.587 1.712 0.000
Er 6.693 1.712 0.000
Er 1.872 4.659 -1.771
Er 2.768 0.000 3.098
Er 0.000 1.899 2.275
Er 4.640 2.760 2.594
Er 1.872 4.659 1.771
Er 2.768 0.000 6.640
Er -2.053 2.947 4.869
Er 2.053 2.947 4.869
Er 0.000 1.899 7.463
Fe 4.640 0.000 1.074
Fe 0.000 3.545 0.000
Fe 0.000 5.773 0.000
Fe 0.000 4.659 3.795
Si 0.000 0.000 0.000
Si 0.000 0.000 4.869
```

Most intense lines, 2θ = 5–70°, low angle first:
26.53°, I 25; 29.13°, I 21; 30.20°, I 20; 32.87°, I 100; 35.08°, I 41; 35.64°, I 37; 36.01°, I 48; 38.82°, I 23; 59.49°, I 17; 61.21°, I 20

# SmEr3Fe34
Calculated powder XRD pattern, a wavelength of 1.5418 Å. Input: a crystal structure in Alexandria, relaxed with GGA-PBE.

Atomic structure:
```
38
Lattice="8.454 0.000 0.000 -4.227 7.321 0.000 0.000 0.000 8.242" Properties=species:S:1:pos:R:3 pbc="T T T"
Sm 0.000 0.000 0.000
Er 0.000 4.881 0.000
Er 0.000 4.881 4.121
Er 4.227 2.440 4.121
Fe 0.000 0.000 2.945
Fe 0.000 0.000 5.297
Fe -2.102 3.667 2.192
Fe -2.102 3.667 6.051
Fe -1.230 2.194 4.121
Fe -2.942 5.159 4.121
Fe 0.000 2.468 1.942
Fe 0.000 2.468 6.300
Fe -2.090 6.087 1.942
Fe -2.090 6.087 6.300
Fe 1.230 2.194 4.121
Fe -1.712 7.289 4.121
Fe 2.122 1.225 2.069
Fe 2.122 1.225 6.173
Fe 3.009 0.256 0.000
Fe 1.726 2.478 0.000
Fe 2.102 3.667 2.192
Fe 2.102 3.667 6.051
Fe 0.000 7.308 2.192
Fe 0.000 7.308 6.051
Fe 5.444 0.256 0.000
Fe 2.944 4.587 0.000
Fe 2.090 6.087 1.942
Fe 2.090 6.087 6.300
Fe 4.227 2.440 1.186
Fe 4.227 2.440 7.056
Fe 2.942 5.159 4.121
Fe 1.712 7.289 4.121
Fe 6.332 1.225 2.069
Fe 6.332 1.225 6.173
Fe 4.227 4.871 2.069
Fe 4.227 4.871 6.173
Fe 6.727 2.478 0.000
Fe 5.510 4.587 0.000
```

Most intense lines, 2θ = 5–70°, low angle first:
30.29°, I 41; 36.83°, I 42; 41.08°, I 29; 42.79°, I 58; 43.08°, I 100; 43.94°, I 31; 46.58°, I 15; 48.40°, I 16; 62.33°, I 15; 63.00°, I 17

# SmErTi2Fe22
Calculated powder XRD pattern, a wavelength of 1.5418 Å. Input: a crystal structure in Alexandria, relaxed with GGA-PBE.

Atomic structure:
```
26
Lattice="5.998 -2.350 0.000 5.998 2.350 0.000 -0.064 0.000 12.009" Properties=species:S:1:pos:R:3 pbc="T T T"
Sm 0.000 0.000 0.000
Er 5.972 0.000 6.000
Ti 3.700 0.000 8.231
Ti 9.750 0.000 2.267
Fe 1.212 0.000 7.321
Fe 1.336 0.000 4.655
Fe 2.035 0.000 9.898
Fe 2.107 0.000 2.189
Fe 5.923 1.175 9.016
Fe 5.971 1.170 3.053
Fe 3.825 0.000 3.915
Fe 4.595 0.000 1.414
Fe 4.563 0.000 10.696
Fe 8.969 1.177 0.022
Fe 8.935 1.172 6.021
Fe 7.296 0.000 1.386
Fe 7.306 0.000 10.629
Fe 8.078 0.000 3.924
Fe 8.048 0.000 8.153
Fe 5.923 -1.175 9.016
Fe 5.971 -1.170 3.053
Fe 9.763 0.000 9.883
Fe 10.562 0.000 7.387
Fe 10.653 0.000 4.759
Fe 8.935 -1.172 6.021
Fe 8.969 -1.177 0.022
```

Most intense lines, 2θ = 5–70°, low angle first:
30.26°, I 56; 37.01°, I 29; 37.16°, I 34; 38.29°, I 22; 42.49°, I 45; 42.73°, I 39; 42.96°, I 100; 43.03°, I 39; 44.04°, I 97; 49.24°, I 33

# Er12FeSn6
Calculated powder XRD pattern, a wavelength of 1.5418 Å. Input: a crystal structure in Alexandria, relaxed with GGA-PBE.

Atomic structure:
```
19
Lattice="6.471 3.736 4.021 -6.471 3.736 4.021 0.000 -7.472 4.021" Properties=species:S:1:pos:R:3 pbc="T T T"
Er -4.418 -4.446 6.639
Er -6.059 1.603 5.424
Er -1.462 -1.828 4.734
Er 1.641 -6.049 5.424
Er -0.852 2.180 4.734
Er -2.314 0.352 7.329
Er 2.314 -0.352 4.734
Er 0.852 -2.180 7.329
Er -1.641 6.049 6.639
Er 1.462 1.828 7.329
Er 6.059 -1.603 6.639
Er 4.418 4.446 5.424
Fe 0.000 0.000 0.000
Sn -3.377 0.520 4.326
Sn 1.238 -3.185 4.326
Sn -2.139 -2.665 7.736
Sn 2.139 2.665 4.326
Sn -1.238 3.185 7.736
Sn 3.377 -0.520 7.736
```

Most intense lines, 2θ = 5–70°, low angle first:
22.24°, I 40; 25.70°, I 46; 27.57°, I 28; 29.68°, I 24; 30.70°, I 61; 32.40°, I 100; 35.32°, I 27; 36.58°, I 75; 36.75°, I 50; 38.04°, I 51

# Er3Fe8Tc
Calculated powder XRD pattern, a wavelength of 1.5418 Å. Input: a crystal structure in Alexandria, relaxed with GGA-PBE.

Atomic structure:
```
12
Lattice="2.500 1.444 8.166 -2.500 1.444 8.166 0.000 -2.887 8.166" Properties=species:S:1:pos:R:3 pbc="T T T"
Er 0.000 0.000 0.000
Er 0.000 0.000 3.127
Er 0.000 0.000 12.428
Fe -1.260 -0.728 9.709
Fe 0.000 -1.441 5.743
Fe -1.248 0.720 5.743
Fe 0.000 0.000 7.711
Fe 1.260 -0.728 9.709
Fe 0.000 1.455 9.709
Fe 1.248 0.720 5.743
Fe 0.000 0.000 19.980
Tc 0.000 0.000 15.428
```

Most intense lines, 2θ = 5–70°, low angle first:
20.83°, I 1; 21.77°, I 15; 27.49°, I 2; 32.91°, I 2; 35.92°, I 65; 42.39°, I 100; 44.37°, I 15; 56.74°, I 4; 64.56°, I 23; 69.00°, I 29

# Er6FeTe3
Calculated powder XRD pattern, a wavelength of 1.5418 Å. Input: a crystal structure in Alexandria, relaxed with GGA-PBE.

Atomic structure:
```
20
Lattice="5.167 -7.775 0.000 5.167 7.775 0.000 0.000 0.000 6.971" Properties=species:S:1:pos:R:3 pbc="T T T"
Er 5.167 7.584 3.485
Er 3.533 3.682 0.407
Er 2.938 1.129 4.919
Er 5.167 4.150 3.718
Er 2.938 -1.129 1.434
Er 6.800 3.682 0.407
Er 3.533 -3.682 3.892
Er 7.395 1.129 4.919
Er 5.167 -4.150 0.232
Er 7.395 -1.129 1.434
Er 6.800 -3.682 3.892
Er 5.167 -7.584 0.000
Fe 5.167 5.551 1.632
Fe 5.167 -5.551 5.117
Te 1.927 1.665 2.016
Te 1.927 -1.665 5.501
Te 5.167 0.913 0.124
Te 5.167 -0.913 3.609
Te 8.406 1.665 2.016
Te 8.406 -1.665 5.501
```

Most intense lines, 2θ = 5–70°, low angle first:
24.31°, I 19; 28.06°, I 20; 29.49°, I 49; 30.95°, I 49; 31.53°, I 24; 33.08°, I 29; 33.79°, I 100; 34.58°, I 88; 39.00°, I 19; 47.57°, I 25

Repeat the eighth record exactly.
# Er6FeTe3
Calculated powder XRD pattern, a wavelength of 1.5418 Å. Input: a crystal structure in Alexandria, relaxed with GGA-PBE.

Atomic structure:
```
20
Lattice="5.167 -7.775 0.000 5.167 7.775 0.000 0.000 0.000 6.971" Properties=species:S:1:pos:R:3 pbc="T T T"
Er 5.167 7.584 3.485
Er 3.533 3.682 0.407
Er 2.938 1.129 4.919
Er 5.167 4.150 3.718
Er 2.938 -1.129 1.434
Er 6.800 3.682 0.407
Er 3.533 -3.682 3.892
Er 7.395 1.129 4.919
Er 5.167 -4.150 0.232
Er 7.395 -1.129 1.434
Er 6.800 -3.682 3.892
Er 5.167 -7.584 0.000
Fe 5.167 5.551 1.632
Fe 5.167 -5.551 5.117
Te 1.927 1.665 2.016
Te 1.927 -1.665 5.501
Te 5.167 0.913 0.124
Te 5.167 -0.913 3.609
Te 8.406 1.665 2.016
Te 8.406 -1.665 5.501
```

Most intense lines, 2θ = 5–70°, low angle first:
24.31°, I 19; 28.06°, I 20; 29.49°, I 49; 30.95°, I 49; 31.53°, I 24; 33.08°, I 29; 33.79°, I 100; 34.58°, I 88; 39.00°, I 19; 47.57°, I 25

- What is the formula in the fifth record?
  SmErTi2Fe22